1.
Calculated X-ray powder pattern
Compound: LiMgZn14
Radiation: Cu Kα (weighted mean of Kα1 and Kα2)
Structure: a cell relaxed with PBE
Peak positions follow from Bragg's law for the DFT cell and can differ from measured ones.

Main lines, by angle (2θ from 5° to 70°):
Position (°2θ)	d [Å]	intensity
11.70	7.567	8
22.06	4.029	3
23.51	3.783	1
25.04	3.556	4
31.40	2.849	1
32.47	2.758	2
33.62	2.666	1
39.60	2.276	100
45.01	2.014	34
48.11	1.891	16
65.54	1.424	10
67.98	1.379	18

Structural model:
```
LiMgZn14
1.0
5.697 0.000 0.000
0.000 5.697 0.000
0.000 0.000 7.567
Li Mg Zn
1 1 14
direct
0.000 0.000 0.000 Li
0.500 0.500 0.000 Mg
0.000 0.000 0.500 Zn
0.000 0.500 0.000 Zn
0.000 0.500 0.500 Zn
0.246 0.246 0.257 Zn
0.246 0.246 0.743 Zn
0.246 0.754 0.257 Zn
0.246 0.754 0.743 Zn
0.500 0.000 0.000 Zn
0.500 0.000 0.500 Zn
0.500 0.500 0.500 Zn
0.754 0.246 0.257 Zn
0.754 0.246 0.743 Zn
0.754 0.754 0.257 Zn
0.754 0.754 0.743 Zn
```

---

2.
Calculated X-ray powder pattern
Compound: Nd4ScHg3
Radiation: Cu Kα (weighted mean of Kα1 and Kα2)
Structure: a cell relaxed with PBE
Peak positions follow from Bragg's law for the DFT cell and can differ from measured ones.

Main lines, by angle (2θ from 5° to 70°):
Position (°2θ)	d [Å]	intensity
7.95	11.124	7
18.13	4.894	6
32.19	2.781	26
32.87	2.725	26
33.10	2.706	100
46.67	1.946	19
48.36	1.882	9
57.98	1.591	19
58.84	1.569	19
59.28	1.559	9
59.71	1.549	9
69.47	1.353	12

Structural model:
```
Nd4ScHg3
1.0
3.765 0.000 0.000
0.000 5.449 0.000
0.000 0.000 11.124
Nd Sc Hg
4 1 3
direct
0.000 0.000 0.000 Nd
0.000 0.000 0.500 Nd
0.000 0.500 0.242 Nd
0.000 0.500 0.758 Nd
0.500 0.500 0.500 Sc
0.500 0.000 0.262 Hg
0.500 0.000 0.738 Hg
0.500 0.500 0.000 Hg
```

---

3.
Calculated X-ray powder pattern
Compound: Tc4TeSe8
Radiation: Cu Kα (weighted mean of Kα1 and Kα2)
Structure: a cell relaxed with PBE
Peak positions follow from Bragg's law for the DFT cell and can differ from measured ones.

Main lines, by angle (2θ from 5° to 70°):
Position (°2θ)	d [Å]	intensity
10.27	8.613	100
16.30	5.438	7
17.36	5.109	7
35.13	2.555	91
40.62	2.221	22
41.96	2.153	9
42.91	2.108	40
50.88	1.795	17
53.17	1.723	6
57.38	1.606	23
58.47	1.579	7
69.09	1.359	12

Structural model:
```
Tc4TeSe8
1.0
3.211 1.854 8.613
-3.211 1.854 8.613
0.000 -3.708 8.613
Tc Te Se
4 1 8
direct
0.000 0.000 0.000 Tc
0.000 0.500 0.500 Tc
0.500 0.000 0.500 Tc
0.500 0.500 0.000 Tc
0.500 0.500 0.500 Te
0.234 0.234 0.735 Se
0.234 0.735 0.234 Se
0.265 0.265 0.265 Se
0.265 0.766 0.766 Se
0.735 0.234 0.234 Se
0.735 0.735 0.735 Se
0.766 0.265 0.766 Se
0.766 0.766 0.265 Se
```

---

4.
Calculated X-ray powder pattern
Compound: LaNi6Ge4
Radiation: Cu Kα (weighted mean of Kα1 and Kα2)
Structure: a cell relaxed with PBE
Peak positions follow from Bragg's law for the DFT cell and can differ from measured ones.

Main lines, by angle (2θ from 5° to 70°):
Position (°2θ)	d [Å]	intensity
26.01	3.426	7
27.44	3.250	5
30.12	2.967	8
34.92	2.570	45
38.17	2.358	100
40.20	2.243	45
46.77	1.942	70
51.87	1.763	25
53.49	1.713	25
61.15	1.516	15
63.34	1.468	22
67.59	1.386	5

Structural model:
```
LaNi6Ge4
1.0
6.853 0.000 0.000
-3.426 5.935 0.000
0.000 0.000 3.884
La Ni Ge
1 6 4
direct
0.000 0.000 0.000 La
0.207 0.415 0.500 Ni
0.207 0.793 0.500 Ni
0.537 0.075 0.000 Ni
0.537 0.463 0.000 Ni
0.585 0.793 0.500 Ni
0.925 0.463 0.000 Ni
0.333 0.667 0.000 Ge
0.393 0.196 0.500 Ge
0.804 0.196 0.500 Ge
0.804 0.607 0.500 Ge
```

---

5.
Calculated X-ray powder pattern
Compound: Tb2TlOsO8
Radiation: Cu Kα (weighted mean of Kα1 and Kα2)
Structure: a cell relaxed with PBE
Peak positions follow from Bragg's law for the DFT cell and can differ from measured ones.

Main lines, by angle (2θ from 5° to 70°):
Position (°2θ)	d [Å]	intensity
24.96	3.568	52
26.01	3.426	45
31.04	2.881	100
36.36	2.471	27
47.93	1.898	37
49.14	1.854	33
51.55	1.773	8
58.10	1.588	11
58.64	1.574	8
59.90	1.544	9
62.13	1.494	19
64.72	1.440	12

Structural model:
```
Tb2TlOsO8
1.0
3.426 -3.568 0.000
3.426 3.568 0.000
-0.005 0.000 7.091
Tb Tl Os O
2 1 1 8
direct
0.001 0.001 0.252 Tb
0.999 0.999 0.748 Tb
0.500 0.500 0.000 Tl
0.500 0.500 0.500 Os
0.197 0.197 0.999 O
0.224 0.224 0.501 O
0.315 0.683 0.304 O
0.317 0.685 0.696 O
0.683 0.315 0.304 O
0.685 0.317 0.696 O
0.776 0.776 0.499 O
0.803 0.803 0.001 O
```